Simulated X-ray powder pattern of La2MgMoO6 for Cu Kα (λ = 1.5418 Å), from a DFT-relaxed cell (PBE+U, the Materials Project).

Crystal structure
abc: 5.6382 5.6382 5.6382
angles: 61.29 61.29 61.29
Element x y z (fractional)
La1 0.2478 0.2478 0.2478
La2 0.7522 0.7522 0.7522
Mg1 0.0000 0.0000 0.0000
Mo1 0.5000 0.5000 0.5000
O1 0.1642 0.3381 0.7515
O2 0.2485 0.8358 0.6619
O3 0.3381 0.7515 0.1642
O4 0.6619 0.2485 0.8358
O5 0.7515 0.1642 0.3381
O6 0.8358 0.6619 0.2485

The 8 most intense peaks (10 to 80 degrees two-theta), by angle:
- 22.09 deg, 4.024 Å, I 267
- 31.12 deg, 2.874 Å, I 954
- 31.75 deg, 2.818 Å, I 1000
- 38.49 deg, 2.339 Å, I 192
- 45.06 deg, 2.012 Å, I 561
- 55.37 deg, 1.659 Å, I 268
- 55.77 deg, 1.648 Å, I 428
- 56.96 deg, 1.617 Å, I 189